This entry pairs a crystal structure of ZrCrAgS4 with its computed powder diffractogram. Radiation: Cu Kα. Structure: the PBE geometry in the Materials Project.
Intensities are scaled so that the largest is 100.

Top 12 peaks for 2θ from 10° to 80°, in order of rising 2θ:
13.53°, d = 6.545 Å, I = 42, (0 0 2)
25.07°, d = 3.553 Å, I = 100, (0 2 3)
25.43°, d = 3.503 Å, I = 81, (0 2 -3)
26.18°, d = 3.404 Å, I = 38, (2 1 0)
29.81°, d = 2.997 Å, I = 26, (0 4 0)
33.67°, d = 2.662 Å, I = 31, (2 3 0)
33.88°, d = 2.646 Å, I = 34, (2 -3 0)
34.49°, d = 2.600 Å, I = 43, (2 3 -1)
36.27°, d = 2.477 Å, I = 29, (2 3 2)
36.57°, d = 2.457 Å, I = 54, (-2 3 2)
36.72°, d = 2.447 Å, I = 25, (2 -3 2)
51.47°, d = 1.775 Å, I = 45, (4 0 0)

Cell and atoms:
a b c (Å): 7.100 11.990 13.091
angles (deg): 89.15 89.77 89.65
Space group P1 (No. 1)
One atom of each set of equivalent atoms:
Zr 0.000 0.000 0.000 [1 per cell]
Zr 0.008 0.515 0.658 [1 per cell]
Zr 0.218 0.771 0.506 [1 per cell]
Zr 0.227 0.509 0.000 [1 per cell]
Zr 0.508 0.014 0.351 [1 per cell]
Zr 0.519 0.278 0.847 [1 per cell]
Zr 0.705 0.789 0.856 [1 per cell]
Zr 0.727 0.507 0.351 [1 per cell]
Cr 0.243 0.059 0.604 [1 per cell]
Cr 0.248 0.238 0.103 [1 per cell]
Cr 0.480 0.774 0.190 [1 per cell]
Cr 0.541 0.544 0.635 [1 per cell]
Cr 0.734 0.044 0.622 [1 per cell]
Cr 0.766 0.269 0.203 [1 per cell]
Cr 0.982 0.270 0.499 [1 per cell]
Cr 0.986 0.735 0.106 [1 per cell]
Ag 0.011 0.006 0.326 [1 per cell]
Ag 0.233 0.514 0.335 [1 per cell]
Ag 0.257 0.794 0.837 [1 per cell]
Ag 0.495 0.278 0.477 [1 per cell]
Ag 0.501 0.014 0.974 [1 per cell]
Ag 0.741 0.786 0.468 [1 per cell]
Ag 0.748 0.510 0.986 [1 per cell]
Ag 0.978 0.284 0.822 [1 per cell]
S 0.009 0.923 0.574 [1 per cell]
S 0.215 0.406 0.540 [1 per cell]
S 0.219 0.138 0.444 [1 per cell]
S 0.220 0.432 0.812 [1 per cell]
S 0.232 0.865 0.077 [1 per cell]
S 0.240 0.157 0.944 [1 per cell]
S 0.244 0.626 0.168 [1 per cell]
S 0.273 0.663 0.675 [1 per cell]
S 0.277 0.853 0.323 [1 per cell]
S 0.479 0.653 0.931 [1 per cell]
S 0.482 0.365 0.032 [1 per cell]
S 0.484 0.934 0.543 [1 per cell]
S 0.486 0.175 0.676 [1 per cell]
S 0.493 0.622 0.465 [1 per cell]
S 0.502 0.131 0.185 [1 per cell]
S 0.508 0.370 0.287 [1 per cell]
S 0.513 0.936 0.784 [1 per cell]
S 0.702 0.442 0.776 [1 per cell]
S 0.728 0.875 0.288 [1 per cell]
S 0.736 0.631 0.190 [1 per cell]
S 0.737 0.862 0.048 [1 per cell]
S 0.751 0.422 0.541 [1 per cell]
S 0.756 0.126 0.456 [1 per cell]
S 0.762 0.163 0.925 [1 per cell]
S 0.762 0.681 0.681 [1 per cell]
S 0.971 0.354 0.327 [1 per cell]
S 0.984 0.926 0.824 [1 per cell]
S 0.986 0.170 0.658 [1 per cell]
S 0.990 0.660 0.945 [1 per cell]
S 0.993 0.630 0.457 [1 per cell]
S 0.995 0.127 0.165 [1 per cell]
S 0.999 0.371 0.080 [1 per cell]